[1]
Diffraction record for Zn3Ag6Sn. The powder XRD pattern is simulated, not measured: it uses a PBE-relaxed structure and Cu Kα.

a = 9.032 Å, b = 4.101 Å, c = 11.142 Å
α = 90.00°, β = 113.68°, γ = 90.00°
Space group P2_1/m (No. 11)
One atom of each set of equivalent atoms:
Zn (0.090, 0.250, 0.006) x2
Zn (0.329, 0.750, 0.463) x2
Zn (0.400, 0.250, 0.874) x2
Ag (0.112, 0.250, 0.477) x2
Ag (0.218, 0.750, 0.191) x2
Ag (0.240, 0.750, 0.680) x2
Ag (0.259, 0.750, 0.948) x2
Ag (0.421, 0.250, 0.146) x2
Ag (0.451, 0.250, 0.640) x2
Sn (0.035, 0.250, 0.725) x2

Principal peaks in the range 10° ≤ 2θ ≤ 80°, by angle:
39.38 deg, rel. 70, hkl 3 1 0
39.74 deg, rel. 24, hkl 2 1 2
39.86 deg, rel. 100, hkl 2 1 -4
40.99 deg, rel. 51, hkl 1 0 4
44.16 deg, rel. 37, hkl 0 2 0
61.82 deg, rel. 29, hkl 1 2 4

=====

[2]
Diffraction record for Tb3B2Rh7. The powder XRD pattern is simulated, not measured: it uses a PBE-relaxed structure and Cu Kα.

a = 4.205 Å, b = 4.205 Å, c = 22.359 Å
α = 90.00°, β = 90.00°, γ = 90.00°
Space group I4/mmm (No. 139)
One atom of each set of equivalent atoms:
Tb (0.000, 0.000, 0.000) x2
Tb (0.000, 0.000, 0.189) x4
B (0.000, 0.000, 0.406) x4
Rh (0.000, 0.000, 0.314) x4
Rh (0.000, 0.000, 0.500) x2
Rh (0.000, 0.500, 0.095) x8

Principal peaks in the range 10° ≤ 2θ ≤ 80°, by angle:
34.16 deg, rel. 44, hkl 1 1 4
38.74 deg, rel. 100, hkl 1 1 6
40.34 deg, rel. 25, hkl 0 0 10
43.02 deg, rel. 56, hkl 2 0 0
60.44 deg, rel. 29, hkl 2 0 10
75.98 deg, rel. 27, hkl 3 1 6

=====

[3]
Diffraction record for CsZnGePSeBr. The powder XRD pattern is simulated, not measured: it uses a PBE-relaxed structure and Cu Kα.

a = 5.437 Å, b = 4.120 Å, c = 8.964 Å
α = 90.00°, β = 104.17°, γ = 90.00°
Space group Pm (No. 6)
One atom of each set of equivalent atoms:
Cs (0.000, 0.000, 0.000) x1
Zn (0.139, 0.500, 0.596) x1
Ge (0.625, 0.000, 0.356) x1
P (0.929, 0.000, 0.582) x1
Se (0.337, 0.500, 0.366) x1
Br (0.448, 0.500, 0.861) x1

Principal peaks in the range 10° ≤ 2θ ≤ 80°, by angle:
20.44 deg, rel. 48, hkl 0 0 2
23.12 deg, rel. 85, hkl 1 0 -2
27.48 deg, rel. 100, hkl 1 1 0
27.85 deg, rel. 71, hkl 1 1 -1
29.67 deg, rel. 52, hkl 1 0 2
30.84 deg, rel. 77, hkl 1 1 1

=====

[4]
Diffraction record for NaCaDySeO6. The powder XRD pattern is simulated, not measured: it uses a PBE-relaxed structure and Cu Kα.

a = 7.988 Å, b = 7.988 Å, c = 7.988 Å
α = 90.00°, β = 90.00°, γ = 90.00°
Space group F-43m (No. 216)
One atom of each set of equivalent atoms:
Na (0.000, 0.000, 0.000) x4
Ca (0.000, 0.000, 0.500) x4
Dy (0.250, 0.250, 0.750) x4
Se (0.250, 0.250, 0.250) x4
O (0.023, 0.250, 0.250) x24

Principal peaks in the range 10° ≤ 2θ ≤ 80°, by angle:
22.26 deg, rel. 70, hkl 2 0 0
31.68 deg, rel. 100, hkl 2 2 0
45.42 deg, rel. 37, hkl 4 0 0
51.14 deg, rel. 28, hkl 4 2 0
56.44 deg, rel. 38, hkl 4 2 2
66.18 deg, rel. 21, hkl 4 4 0